Diffraction record for RbVSnF6. The powder XRD pattern is simulated, not measured: it uses a structure optimized by DFT (PBE+U) and Cu Kα (weighted mean of Kα1 and Kα2).
Kinematic intensities with the Lorentz-polarization factor, no thermal factor.

Structure:
abc: 5.0542 5.6162 6.1912
angles: 63.51 85.23 81.82
Positions (direct):
Rb (0.0000, 0.0000, 0.0000)
V (0.3101, 0.3190, 0.3853)
Sn (0.5811, 0.6778, 0.6135)
F (0.1801, 0.9532, 0.5429)
F (0.1874, 0.4347, 0.0676)
F (0.4704, 0.2332, 0.6977)
F (0.4737, 0.6707, 0.2822)
F (0.6349, 0.1079, 0.3250)
F (0.9892, 0.4920, 0.4843)

Most intense lines, 2θ = 10–80°, low angle first:
| d (Å) | I_rel | (hkl) |
| --- | --- | --- |
| 5.540 | 37 | 0 0 1 |
| 3.785 | 100 | 1 1 1 |
| 3.756 | 41 | 1 0 1 |
| 3.672 | 99 | 1 0 -1 |
| 3.341 | 68 | 1 -1 0 |
| 3.092 | 49 | 0 1 -1 |
| 3.060 | 48 | 0 1 2 |
| 2.779 | 39 | 0 2 1 |
| 2.347 | 99 | 1 2 0 |
| 2.118 | 46 | -2 1 1 |